Calculated X-ray diffraction stick pattern
Compound: Ce2Ni12As7
Radiation: Cu Kα (weighted mean of Kα1 and Kα2)
Structure: the PBE geometry in Alexandria
No peak broadening, texture or thermal motion is included.

Cell and atoms:
```
Ce2Ni12As7
1.0
9.4079 0.0000 0.0000
-4.7040 8.1475 0.0000
0.0000 0.0000 3.9038
Ce Ni As
2 12 7
direct
0.3333 0.6667 0.2441 Ce
0.6667 0.3333 0.7559 Ce
0.0555 0.4331 0.7511 Ni
0.1201 0.2561 0.2247 Ni
0.1360 0.8799 0.2247 Ni
0.2561 0.1360 0.7753 Ni
0.3776 0.9445 0.7511 Ni
0.4331 0.3776 0.2489 Ni
0.5669 0.6224 0.7511 Ni
0.6224 0.0555 0.2489 Ni
0.7439 0.8640 0.2247 Ni
0.8640 0.1201 0.7753 Ni
0.8799 0.7439 0.7753 Ni
0.9445 0.5669 0.2489 Ni
0.0000 0.0000 0.5000 As
0.1088 0.7060 0.7422 As
0.2940 0.4029 0.7422 As
0.4029 0.1088 0.2578 As
0.5971 0.8912 0.7422 As
0.7060 0.5971 0.2578 As
0.8912 0.2940 0.2578 As
```

Most intense lines, 2θ = 10–80°, by angle:
| h k l | 2θ (°) | I (rel.) |
| --- | --- | --- |
| 0 2 1 | 31.7 | 123 |
| 3 0 0 | 33.0 | 115 |
| 2 1 1 | 37.2 | 1000 |
| 0 0 2 | 46.5 | 384 |
| 1 4 0 | 51.4 | 225 |
| 3 2 1 | 54.4 | 143 |